No. 1
# NaSrHgF6
Theoretical powder X-ray diffraction pattern, copper Kα. Input: a crystal structure in Alexandria, relaxed with GGA-PBE.
Peak positions follow from Bragg's law for the DFT cell and can differ from measured ones.

Structure:
```
NaSrHgF6
1.0
5.325 0.000 0.000
0.000 5.325 0.000
0.000 0.000 11.110
Na Sr Hg F
2 2 2 12
Direct
0.000 0.000 0.000
0.500 0.500 0.500
0.000 0.000 0.665
0.500 0.500 0.165
0.000 0.000 0.333
0.500 0.500 0.833
0.182 0.182 0.173
0.193 0.193 0.488
0.209 0.209 0.835
0.291 0.709 0.335
0.307 0.693 0.988
0.318 0.682 0.673
0.682 0.318 0.673
0.693 0.307 0.988
0.709 0.291 0.335
0.791 0.791 0.835
0.807 0.807 0.488
0.818 0.818 0.173
```

Main lines, by intensity (5 to 70 degrees two-theta):
2θ (°)  d [Å]  I_rel
23.63  3.766  100
18.48  4.802  82
29.38  3.040  80
45.27  2.003  78
15.95  5.555  28
28.64  3.117  26
57.58  1.601  26
38.67  2.329  25
48.34  1.883  19
55.28  1.662  19
33.66  2.663  19
54.49  1.684  15

***

No. 2
# Dy3HoPd6
Theoretical powder X-ray diffraction pattern, copper Kα. Input: a crystal structure in Alexandria, relaxed with GGA-PBE.
Peak positions follow from Bragg's law for the DFT cell and can differ from measured ones.

Structure:
```
Dy3HoPd6
1.0
8.305 0.000 0.000
0.000 4.920 0.000
-3.036 0.000 9.875
Dy Ho Pd
6 2 12
Direct
0.021 0.250 0.386
0.141 0.750 0.194
0.292 0.250 0.988
0.708 0.750 0.012
0.859 0.250 0.806
0.979 0.750 0.614
0.436 0.250 0.610
0.564 0.750 0.390
0.056 0.750 0.907
0.142 0.250 0.695
0.258 0.750 0.488
0.348 0.250 0.302
0.354 0.750 0.800
0.424 0.750 0.106
0.576 0.250 0.894
0.646 0.250 0.200
0.652 0.750 0.698
0.742 0.250 0.512
0.858 0.750 0.305
0.944 0.250 0.093
```

Main lines, by intensity (5 to 70 degrees two-theta):
2θ (°)  d [Å]  I_rel
37.29  2.412  100
36.53  2.460  29
36.79  2.443  25
66.25  1.411  18
52.81  1.733  18
66.59  1.404  14
67.56  1.387  7
54.68  1.679  7
67.73  1.383  7
25.70  3.467  3
33.39  2.684  3
28.90  3.089  2

***

No. 3
# RbCeIn2I6
Theoretical powder X-ray diffraction pattern, copper Kα. Input: a crystal structure in Alexandria, relaxed with GGA-PBE.
Peak positions follow from Bragg's law for the DFT cell and can differ from measured ones.

Structure:
```
RbCeIn2I6
1.0
4.373 2.525 7.706
-4.373 2.525 7.706
0.000 -5.049 7.706
Rb Ce In I
1 1 2 6
Direct
0.000 0.000 0.000
0.488 0.488 0.488
0.294 0.294 0.294
0.805 0.805 0.805
0.108 0.670 0.424
0.242 0.586 0.852
0.424 0.108 0.670
0.586 0.852 0.242
0.670 0.424 0.108
0.852 0.242 0.586
```

Main lines, by intensity (5 to 70 degrees two-theta):
2θ (°)  d [Å]  I_rel
23.39  3.803  100
30.93  2.891  75
35.56  2.525  50
40.76  2.214  32
13.98  6.335  28
34.98  2.565  22
28.17  3.168  19
47.83  1.902  18
19.32  4.595  16
55.18  1.664  14
12.30  7.198  13
61.00  1.519  13

***

No. 4
# NdBe3H9
Theoretical powder X-ray diffraction pattern, copper Kα. Input: a crystal structure in Alexandria, relaxed with GGA-PBE.
Peak positions follow from Bragg's law for the DFT cell and can differ from measured ones.

Structure:
```
NdBe3H9
1.0
3.859 -5.030 0.000
3.859 5.030 0.000
0.000 0.000 6.764
Nd Be H
2 6 18
Direct
0.145 0.145 0.000
0.855 0.855 0.500
0.249 0.249 0.500
0.320 0.649 0.559
0.351 0.680 0.941
0.649 0.320 0.441
0.680 0.351 0.059
0.751 0.751 0.000
0.100 0.146 0.657
0.146 0.100 0.343
0.159 0.765 0.563
0.219 0.454 0.449
0.233 0.501 0.053
0.235 0.841 0.937
0.402 0.598 0.750
0.454 0.219 0.551
0.499 0.767 0.447
0.501 0.233 0.947
0.546 0.781 0.051
0.598 0.402 0.250
0.765 0.159 0.437
0.767 0.499 0.553
0.781 0.546 0.949
0.841 0.235 0.063
0.854 0.900 0.843
0.900 0.854 0.157
```

Main lines, by intensity (5 to 70 degrees two-theta):
2θ (°)  d [Å]  I_rel
19.55  4.540  100
17.63  5.030  62
31.93  2.803  59
14.46  6.124  57
32.09  2.789  50
26.59  3.352  43
26.35  3.382  31
50.22  1.817  24
30.19  2.960  21
45.07  2.012  20
29.03  3.076  19
36.03  2.493  19

***

No. 5
# La5NdTe8
Theoretical powder X-ray diffraction pattern, copper Kα. Input: a crystal structure in Alexandria, relaxed with GGA-PBE.
Peak positions follow from Bragg's law for the DFT cell and can differ from measured ones.

Structure:
```
La5NdTe8
1.0
-4.834 4.834 4.824
4.834 -4.834 4.824
4.834 4.834 -4.824
La Nd Te
5 1 8
Direct
0.000 0.000 0.000
0.125 0.248 0.622
0.497 0.875 0.123
0.626 0.503 0.378
0.752 0.374 0.877
0.250 0.750 0.500
0.028 0.625 0.749
0.225 0.474 0.101
0.373 0.123 0.899
0.375 0.124 0.403
0.526 0.627 0.751
0.721 0.972 0.597
0.876 0.279 0.251
0.877 0.775 0.249
```

Main lines, by intensity (5 to 70 degrees two-theta):
2θ (°)  d [Å]  I_rel
29.23  3.055  100
34.75  2.582  72
58.92  1.568  24
48.02  1.895  17
46.03  1.972  16
41.82  2.160  16
62.29  1.491  15
43.96  2.060  11
60.59  1.528  8
22.55  3.944  7
67.13  1.394  6
59.01  1.565  5

***

No. 6
# Nd4Dy2Sb3N2
Theoretical powder X-ray diffraction pattern, copper Kα. Input: a crystal structure in Alexandria, relaxed with GGA-PBE.
Peak positions follow from Bragg's law for the DFT cell and can differ from measured ones.

Structure:
```
Nd4Dy2Sb3N2
1.0
-2.397 2.397 12.830
2.397 -2.397 12.830
2.397 2.397 -12.830
Nd Dy Sb N
4 2 3 2
Direct
0.084 0.584 0.500
0.416 0.916 0.500
0.584 0.084 0.500
0.916 0.416 0.500
0.193 0.193 0.000
0.807 0.807 0.000
0.318 0.318 0.000
0.500 0.500 0.000
0.682 0.682 0.000
0.108 0.108 0.000
0.892 0.892 0.000
```

Main lines, by intensity (5 to 70 degrees two-theta):
2θ (°)  d [Å]  I_rel
33.74  2.656  100
37.53  2.397  55
27.21  3.277  48
65.31  1.429  29
29.81  2.997  20
54.12  1.695  19
52.23  1.751  18
27.82  3.207  16
47.35  1.920  15
34.97  2.566  15
64.25  1.450  12
61.61  1.505  10